(1)
Calculated XRD peak list
Compound: TbMg2P2Pt7
Radiation: λ = 1.5418 Å (Cu Kα)
Structure: a DFT-relaxed cell (GGA-PBE, Alexandria)
Intensities are scaled so that the largest is 1000.

Structure:
a b c (Å): 3.979 3.979 13.785
angles (deg): 97.55 97.55 89.61
Fractional coordinates of all 12 atoms:
Tb  0.000  0.000  0.000
Mg  0.092  0.092  0.391
Mg  0.908  0.908  0.609
P  0.388  0.388  0.739
P  0.612  0.612  0.261
Pt  0.073  0.575  0.164
Pt  0.388  0.388  0.576
Pt  0.425  0.927  0.836
Pt  0.500  0.500  0.000
Pt  0.575  0.073  0.164
Pt  0.612  0.612  0.424
Pt  0.927  0.425  0.836

Main lines, low angle first (2θ from 10° to 90°):
2θ = 19.66°, intensity 264; 2θ = 22.54°, intensity 229; 2θ = 33.06°, intensity 384; 2θ = 34.64°, intensity 1000; 2θ = 37.22°, intensity 682; 2θ = 37.76°, intensity 755; 2θ = 42.08°, intensity 235; 2θ = 45.60°, intensity 554; 2θ = 46.01°, intensity 289; 2θ = 46.95°, intensity 225


(2)
Calculated XRD peak list
Compound: Tl2CoAsC
Radiation: λ = 1.5418 Å (Cu Kα)
Structure: a DFT-relaxed cell (GGA-PBE, Alexandria)
Intensities are scaled so that the largest is 1000.

Structure:
a b c (Å): 5.397 5.397 3.917
angles (deg): 90.00 90.00 90.00
Fractional coordinates of all 5 atoms:
Tl  0.000  0.500  0.000
Tl  0.500  0.000  0.000
Co  0.000  0.000  0.500
As  0.500  0.500  0.500
C  0.500  0.500  0.000

Main lines, low angle first (2θ from 10° to 90°):
2θ = 22.70°, intensity 161; 2θ = 23.31°, intensity 249; 2θ = 32.76°, intensity 1000; 2θ = 33.20°, intensity 524; 2θ = 40.59°, intensity 147; 2θ = 46.36°, intensity 103; 2θ = 47.66°, intensity 190; 2θ = 58.20°, intensity 209; 2θ = 59.03°, intensity 377; 2θ = 68.67°, intensity 127


(3)
Calculated XRD peak list
Compound: Al4Tc
Radiation: λ = 1.5418 Å (Cu Kα)
Structure: a DFT-relaxed cell (GGA-PBE, Alexandria)
Intensities are scaled so that the largest is 1000.

Structure:
a b c (Å): 9.167 9.167 5.169
angles (deg): 93.16 93.16 147.01
Fractional coordinates of all 15 atoms:
Al  0.000  0.000  0.000
Al  0.088  0.839  0.696
Al  0.206  0.446  0.290
Al  0.229  0.698  0.918
Al  0.376  0.873  0.439
Al  0.409  0.564  0.823
Al  0.446  0.206  0.290
Al  0.564  0.409  0.823
Al  0.650  0.650  0.357
Al  0.698  0.229  0.918
Al  0.839  0.088  0.696
Al  0.873  0.376  0.439
Tc  0.158  0.158  0.513
Tc  0.677  0.951  0.175
Tc  0.951  0.677  0.175

Main lines, low angle first (2θ from 10° to 90°):
2θ = 17.49°, intensity 259; 2θ = 22.75°, intensity 541; 2θ = 23.11°, intensity 531; 2θ = 26.84°, intensity 461; 2θ = 39.59°, intensity 400; 2θ = 40.88°, intensity 439; 2θ = 41.09°, intensity 1000; 2θ = 41.79°, intensity 654; 2θ = 42.64°, intensity 382; 2θ = 43.12°, intensity 260


(4)
Calculated XRD peak list
Compound: KHoCuF6
Radiation: λ = 1.5418 Å (Cu Kα)
Structure: a DFT-relaxed cell (GGA-PBE, Alexandria)
Intensities are scaled so that the largest is 1000.

Structure:
a b c (Å): 7.276 7.276 7.276
angles (deg): 119.80 118.64 91.36
Fractional coordinates of all 18 atoms:
K  0.410  0.160  0.250
K  0.590  0.840  0.750
Ho  0.000  0.000  0.500
Ho  0.000  0.500  0.000
Cu  0.000  0.500  0.500
Cu  0.500  0.500  0.000
F  0.126  0.876  0.250
F  0.130  0.380  0.750
F  0.150  0.436  0.322
F  0.150  0.829  0.715
F  0.386  0.171  0.822
F  0.386  0.564  0.215
F  0.614  0.436  0.785
F  0.614  0.829  0.178
F  0.850  0.171  0.285
F  0.850  0.564  0.678
F  0.870  0.620  0.250
F  0.874  0.124  0.750

Main lines, low angle first (2θ from 10° to 90°):
2θ = 14.77°, intensity 1000; 2θ = 14.94°, intensity 195; 2θ = 17.44°, intensity 214; 2θ = 28.36°, intensity 236; 2θ = 28.64°, intensity 510; 2θ = 28.99°, intensity 265; 2θ = 29.80°, intensity 500; 2θ = 30.15°, intensity 412; 2θ = 38.22°, intensity 321; 2θ = 50.17°, intensity 478


(5)
Calculated XRD peak list
Compound: Sr2Al2Si
Radiation: λ = 1.5418 Å (Cu Kα)
Structure: a DFT-relaxed cell (GGA-PBE, Alexandria)
Intensities are scaled so that the largest is 1000.

Structure:
a b c (Å): 4.719 7.259 7.259
angles (deg): 32.98 90.00 90.00
Fractional coordinates of all 5 atoms:
Sr  0.000  0.000  0.000
Sr  0.000  0.252  0.252
Al  0.500  0.423  0.423
Al  0.500  0.626  0.626
Si  0.500  0.822  0.822

Main lines, low angle first (2θ from 10° to 90°):
2θ = 22.50°, intensity 207; 2θ = 25.60°, intensity 219; 2θ = 28.98°, intensity 213; 2θ = 29.48°, intensity 1000; 2θ = 31.95°, intensity 682; 2θ = 34.77°, intensity 474; 2θ = 38.14°, intensity 291; 2θ = 39.05°, intensity 336; 2θ = 55.36°, intensity 277; 2θ = 55.73°, intensity 233